No. 1
Theoretical powder diffraction line list
Compound: AlCu3Ni
Radiation: CuKα
Structure: a DFT-relaxed cell (PBE, Alexandria)
Kinematic intensities with the Lorentz-polarization factor, no thermal factor.

Structure:
```
data_AlCu3Ni
_cell_length_a 5.7384
_cell_length_b 5.7384
_cell_length_c 5.7384
_cell_angle_alpha 90.00
_cell_angle_beta 90.00
_cell_angle_gamma 90.00
_symmetry_space_group_name_H-M 'P m -3 m'
_symmetry_Int_Tables_number 221
_symmetry_space_group_name_Hall '-P 4 2 3'
loop_
_atom_site_label
_atom_site_type_symbol
_atom_site_fract_x
_atom_site_fract_y
_atom_site_fract_z
_atom_site_occupancy
Al1 Al 0.0000 0.0000 0.5000 1
Cu1 Cu 0.2443 0.2443 0.2443 1
Cu2 Cu 0.5000 0.5000 0.5000 1
Ni1 Ni 0.0000 0.5000 0.5000 1
```

Main lines, most intense first (2θ = 5–70°):
| Position (°2θ) | I (rel.) | h k l |
| --- | --- | --- |
| 44.7 | 100 | 2 2 0 |
| 65.0 | 15 | 4 0 0 |
| 35.0 | 8 | 2 1 0 |
| 31.2 | 7 | 2 0 0 |
| 15.4 | 7 | 1 0 0 |
| 47.5 | 3 | 3 0 0 |
| 67.3 | 2 | 3 2 2 |
| 55.5 | 2 | 2 2 2 |
| 26.9 | 1 | 1 1 1 |

No. 2
Theoretical powder diffraction line list
Compound: Al3Cu3Ni
Radiation: CuKα
Structure: a DFT-relaxed cell (PBE, Alexandria)
Kinematic intensities with the Lorentz-polarization factor, no thermal factor.

Structure:
```
data_Al3Cu3Ni
_cell_length_a 6.9219
_cell_length_b 6.9219
_cell_length_c 4.4217
_cell_angle_alpha 90.00
_cell_angle_beta 90.00
_cell_angle_gamma 120.00
_symmetry_space_group_name_H-M 'P 63/m'
_symmetry_Int_Tables_number 176
_symmetry_space_group_name_Hall '-P 6c'
loop_
_atom_site_label
_atom_site_type_symbol
_atom_site_fract_x
_atom_site_fract_y
_atom_site_fract_z
_atom_site_occupancy
Al1 Al 0.0625 0.2694 0.2500 1
Cu1 Cu 0.1013 0.4738 0.7500 1
Ni1 Ni 0.3333 0.6667 0.2500 1
```

Main lines, most intense first (2θ = 5–70°):
| Position (°2θ) | I (rel.) | h k l |
| --- | --- | --- |
| 45.0 | 100 | 2 1 1 |
| 14.8 | 36 | 1 0 0 |
| 40.8 | 30 | 0 0 2 |
| 39.8 | 27 | 2 1 0 |
| 58.3 | 17 | 2 1 2 |
| 32.9 | 8 | 1 1 1 |
| 43.6 | 5 | 1 0 2 |
| 57.2 | 4 | 2 2 1 |
| 36.2 | 3 | 2 0 1 |
| 59.4 | 2 | 3 1 1 |